This entry pairs a crystal structure of Ba2YBr7 with its calculated PXRD pattern. Radiation: Cu Kα. Structure: DFT lattice parameters and positions (GGA-PBE).

Largest 6 diffraction maxima, by angle, 10° ≤ 2θ ≤ 80°:
2θ/deg  I/Imax  hkl
20.1  50  1 3 0
31.2  70  2 2 2
32.2  100  0 1 4
33.3  47  0 6 1
33.5  94  2 3 2
35.7  47  2 2 -3

Unit cell a=7.3219 b=16.6044 c=11.2640 alpha=90.00 beta=90.68 gamma=90.00
Space group P2_1/c (No. 14)
Unique sites:
Ba  0.2319  0.0601  0.3241 (multiplicity 4)
Ba  0.2329  0.7204  0.4518 (multiplicity 4)
Y  0.2836  0.1272  0.7818 (multiplicity 4)
Br  0.0094  0.2416  0.3013 (multiplicity 4)
Br  0.0115  0.1051  0.5840 (multiplicity 4)
Br  0.2022  0.5406  0.2871 (multiplicity 4)
Br  0.2063  0.1396  0.0286 (multiplicity 4)
Br  0.3693  0.5700  0.6223 (multiplicity 4)
Br  0.4987  0.6040  0.9302 (multiplicity 4)
Br  0.4996  0.2262  0.2938 (multiplicity 4)

This entry pairs a crystal structure of Ba2YBr7 with its calculated PXRD pattern. Radiation: Cu Kα. Structure: DFT lattice parameters and positions (GGA-PBE).

Largest 6 diffraction maxima, by angle, 10° ≤ 2θ ≤ 80°:
2θ/deg  I/Imax  hkl
28.6  100  2 0 2
29.8  87  0 2 4
30.0  38  2 1 -3
30.2  47  2 3 -1
31.7  31  0 5 1
34.4  29  2 4 0

Unit cell a=7.5951 b=14.4321 c=13.2781 alpha=90.00 beta=96.83 gamma=90.00
Space group P2_1 (No. 4)
Unique sites:
Ba  0.2017  0.0000  0.2668 (multiplicity 2)
Ba  0.2351  0.7673  0.8753 (multiplicity 2)
Ba  0.2474  0.4165  0.3749 (multiplicity 2)
Ba  0.2692  0.1754  0.7560 (multiplicity 2)
Y  0.2953  0.7072  0.4556 (multiplicity 2)
Y  0.3132  0.4760  0.9529 (multiplicity 2)
Br  0.0185  0.5856  0.9704 (multiplicity 2)
Br  0.0205  0.8362  0.4027 (multiplicity 2)
Br  0.0348  0.5817  0.4890 (multiplicity 2)
Br  0.0703  0.3325  0.8927 (multiplicity 2)
Br  0.1162  0.9671  0.7727 (multiplicity 2)
Br  0.1228  0.2181  0.2755 (multiplicity 2)
Br  0.2722  0.6415  0.2554 (multiplicity 2)
Br  0.2912  0.5458  0.7557 (multiplicity 2)
Br  0.3841  0.7824  0.6444 (multiplicity 2)
Br  0.3927  0.4023  0.1440 (multiplicity 2)
Br  0.4102  0.8642  0.1057 (multiplicity 2)
Br  0.4411  0.0682  0.5163 (multiplicity 2)
Br  0.4581  0.1282  0.9977 (multiplicity 2)
Br  0.4623  0.3370  0.6098 (multiplicity 2)

This entry pairs a crystal structure of Ba2YBr7 with its calculated PXRD pattern. Radiation: Cu Kα. Structure: DFT lattice parameters and positions (GGA-PBE).

Largest 6 diffraction maxima, by angle, 10° ≤ 2θ ≤ 80°:
2θ/deg  I/Imax  hkl
13.2  100  0 2 0
14.6  62  0 2 1
28.0  44  2 1 1
29.6  38  1 3 -4
30.4  37  2 2 1
33.9  36  2 1 -6

Unit cell a=8.6237 b=13.4099 c=16.4051 alpha=90.00 beta=119.06 gamma=90.00
Space group P2_1/c (No. 14)
Unique sites:
Ba  0.0862  0.1361  0.2831 (multiplicity 4)
Ba  0.3089  0.7371  0.0232 (multiplicity 4)
Y  0.4503  0.2011  0.1770 (multiplicity 4)
Br  0.0905  0.1332  0.0824 (multiplicity 4)
Br  0.1095  0.5843  0.8609 (multiplicity 4)
Br  0.2043  0.7293  0.6870 (multiplicity 4)
Br  0.3415  0.5905  0.3841 (multiplicity 4)
Br  0.3513  0.1733  0.7807 (multiplicity 4)
Br  0.3517  0.1838  0.5133 (multiplicity 4)
Br  0.4856  0.0593  0.3123 (multiplicity 4)

This entry pairs a crystal structure of Ba2YBr7 with its calculated PXRD pattern. Radiation: Cu Kα. Structure: DFT lattice parameters and positions (GGA-PBE).

Largest 6 diffraction maxima, by angle, 10° ≤ 2θ ≤ 80°:
2θ/deg  I/Imax  hkl
13.9  50  1 1 1
17.9  35  2 1 1
24.3  48  2 1 3
31.6  100  3 2 2
32.0  58  0 2 4
35.2  34  4 0 4

Unit cell a=13.6692 b=8.2091 c=15.2971 alpha=90.00 beta=90.00 gamma=90.00
Space group Pnma (No. 62)
Unique sites:
Ba  0.2405  0.2500  0.0290 (multiplicity 4)
Ba  0.2467  0.7500  0.2299 (multiplicity 4)
Y  0.0614  0.7500  0.7870 (multiplicity 4)
Br  0.0877  0.0294  0.1522 (multiplicity 8)
Br  0.1019  0.7500  0.3834 (multiplicity 4)
Br  0.1054  0.5337  0.6467 (multiplicity 8)
Br  0.1827  0.5315  0.8770 (multiplicity 8)

This entry pairs a crystal structure of Ba2YBr7 with its calculated PXRD pattern. Radiation: Cu Kα. Structure: DFT lattice parameters and positions (GGA-PBE).

Largest 6 diffraction maxima, by angle, 10° ≤ 2θ ≤ 80°:
2θ/deg  I/Imax  hkl
28.6  64  1 1 -3
28.9  96  0 2 2
29.3  100  5 1 -1
30.8  71  6 0 -2
32.2  55  4 2 -3
34.4  59  6 0 -4

Unit cell a=17.5935 b=8.6671 c=11.3633 alpha=90.00 beta=128.95 gamma=90.00
Space group C2/c (No. 15)
Unique sites:
Ba  0.1950  0.0137  0.2996 (multiplicity 8)
Y  0.0000  0.4480  0.7500 (multiplicity 4)
Br  0.0000  0.1005  0.7500 (multiplicity 4)
Br  0.0901  0.3416  0.0566 (multiplicity 8)
Br  0.1207  0.2774  0.4357 (multiplicity 8)
Br  0.1897  0.3737  0.8393 (multiplicity 8)

This entry pairs a crystal structure of BaY2Br8 with its calculated PXRD pattern. Radiation: Cu Kα. Structure: DFT lattice parameters and positions (GGA-PBE).

Largest 6 diffraction maxima, by angle, 10° ≤ 2θ ≤ 80°:
2θ/deg  I/Imax  hkl
19.3  100  2 2 0
19.7  51  3 1 -2
26.4  51  1 1 -3
29.1  55  3 3 0
30.1  56  5 1 -3
30.7  81  2 2 2

Unit cell a=17.1193 b=11.7171 c=11.1070 alpha=90.00 beta=119.79 gamma=90.00
Space group C2/c (No. 15)
Unique sites:
Ba  0.0000  0.0280  0.2500 (multiplicity 4)
Y  0.2158  0.2762  0.7704 (multiplicity 8)
Br  0.0953  0.1163  0.5850 (multiplicity 8)
Br  0.1305  0.4673  0.6710 (multiplicity 8)
Br  0.1519  0.1720  0.9444 (multiplicity 8)
Br  0.1523  0.2154  0.2954 (multiplicity 8)